No. 1
# AcPm5Dy2
Simulated XRD peak list, λ = 1.5418 Å (Cu Kα). Input: a structure optimized by DFT (GGA-PBE).
No peak broadening, texture or thermal motion is included.

Structure:
```
16
Lattice="7.337 0.000 0.000 0.000 14.682 0.000 0.000 0.000 5.160" Properties=species:S:1:pos:R:3 pbc="T T T"
Ac 0.000 0.000 0.000
Ac 3.669 7.341 0.000
Pm 0.000 7.341 0.000
Pm 0.012 3.708 0.000
Pm 1.805 9.211 2.580
Pm 1.864 1.870 2.580
Pm 3.657 11.048 0.000
Pm 3.669 0.000 0.000
Pm 3.680 3.633 0.000
Pm 5.473 12.811 2.580
Pm 5.533 5.470 2.580
Pm 7.326 10.974 0.000
Dy 1.824 5.472 2.580
Dy 1.844 12.813 2.580
Dy 5.493 1.869 2.580
Dy 5.513 9.210 2.580
```

Peak list (6 most intense, 5 to 70 degrees two-theta, by angle)
- d = 2.990 Å, rel. 100
- d = 2.595 Å, rel. 34
- d = 2.580 Å, rel. 17
- d = 1.830 Å, rel. 24
- d = 1.564 Å, rel. 29
- d = 1.557 Å, rel. 14

***

No. 2
# AcPm4Dy6
Simulated XRD peak list, λ = 1.5418 Å (Cu Kα). Input: a structure optimized by DFT (GGA-PBE).
No peak broadening, texture or thermal motion is included.

Structure:
```
11
Lattice="-3.359 3.359 8.572 3.359 -3.359 8.572 3.359 3.359 -8.572" Properties=species:S:1:pos:R:3 pbc="T T T"
Ac 0.000 0.000 0.000
Pm 1.286 1.286 -3.050
Pm 2.073 -2.073 11.622
Pm 2.073 2.073 5.521
Pm -2.073 2.073 11.622
Dy 3.359 0.000 0.000
Dy 1.201 -1.201 6.430
Dy 2.158 2.158 2.142
Dy 0.000 3.359 0.000
Dy -1.201 1.201 6.430
Dy 1.201 1.201 10.714
```

Peak list (6 most intense, 5 to 70 degrees two-theta, by angle)
- d = 3.182 Å, rel. 37
- d = 3.128 Å, rel. 76
- d = 3.054 Å, rel. 37
- d = 2.959 Å, rel. 100
- d = 2.644 Å, rel. 81
- d = 2.375 Å, rel. 34